For Cs2Bi2Pt, DFT lattice parameters and positions (PBE) gives the calculated powder X-ray diffraction pattern in this record (Cu Kα (λ = 1.5418 Å)).

Most intense lines, 2θ = 5–70°, sorted by position:
2θ (°)	intensity
13.91	39
14.43	60
24.83	58
27.09	35
29.10	37
29.28	28
31.83	100
39.38	26
44.04	47
48.68	51

```
5
Lattice="-2.2881 3.7240 6.1372 2.2881 -3.7240 6.1372 2.2881 3.7240 -6.1372" Properties=species:S:1:pos:R:3 pbc="T T T"
Cs 0.0000 0.0000 2.4645
Cs 0.0000 0.0000 9.8099
Bi 2.2881 2.1530 0.0000
Bi 0.0000 1.5711 6.1372
Pt 0.0000 3.7240 0.0000
```

=====

For CsRbBi2Pt, DFT lattice parameters and positions (PBE) gives the calculated powder X-ray diffraction pattern in this record (Cu Kα (λ = 1.5418 Å)).

Most intense lines, 2θ = 5–70°, sorted by position:
2θ (°)	intensity
11.10	89
11.76	55
20.49	26
25.08	27
25.63	26
29.10	100
33.81	53
36.58	25
42.54	41
46.75	28

```
10
Lattice="7.1004 0.0000 0.0000 0.0000 7.5244 0.0000 0.0000 0.0000 7.9710" Properties=species:S:1:pos:R:3 pbc="T T T"
Cs 1.7751 0.0000 1.7089
Cs 5.3253 0.0000 6.2620
Rb 1.7751 3.7622 2.8178
Rb 5.3253 3.7622 5.1532
Bi 1.7751 2.2392 6.4671
Bi 1.7751 5.2852 6.4671
Bi 5.3253 2.2392 1.5038
Bi 5.3253 5.2852 1.5038
Pt 0.0000 3.7622 0.0000
Pt 3.5502 3.7622 0.0000
```

=====

For CsRb3Bi, DFT lattice parameters and positions (PBE) gives the calculated powder X-ray diffraction pattern in this record (Cu Kα (λ = 1.5418 Å)).

Most intense lines, 2θ = 5–70°, sorted by position:
2θ (°)	intensity
6.33	50
19.87	11
25.33	100
27.73	29
28.01	28
29.86	43
39.82	22
47.61	18
47.96	18
56.75	13

```
10
Lattice="3.2171 -13.9525 0.0000 3.2171 13.9525 0.0000 0.0000 0.0000 6.3719" Properties=species:S:1:pos:R:3 pbc="T T T"
Cs 3.2171 9.1785 4.7790
Cs 3.2171 -9.1785 1.5930
Rb 3.2171 11.9221 1.5930
Rb 3.2171 6.9706 1.5930
Rb 3.2171 2.0878 1.5930
Rb 3.2171 -2.0878 4.7790
Rb 3.2171 -6.9706 4.7790
Rb 3.2171 -11.9221 4.7790
Bi 3.2171 4.6339 4.7790
Bi 3.2171 -4.6339 1.5930
```

=====

For Cs5Rb2Bi4, DFT lattice parameters and positions (PBE) gives the calculated powder X-ray diffraction pattern in this record (Cu Kα (λ = 1.5418 Å)).

Most intense lines, 2θ = 5–70°, sorted by position:
2θ (°)	intensity
14.54	100
16.53	35
23.26	65
23.70	40
24.87	52
26.39	42
28.90	46
29.34	71
31.28	48
32.29	33

```
11
Lattice="8.4540 -3.8337 0.0000 8.4540 3.8337 0.0000 -3.3085 0.0000 10.0148" Properties=species:S:1:pos:R:3 pbc="T T T"
Cs 0.0000 0.0000 0.0000
Cs 4.7610 1.8928 5.4937
Cs 8.8386 1.8928 4.5211
Cs 4.7610 -1.8928 5.4937
Cs 8.8386 -1.8928 4.5211
Rb 1.2572 0.0000 8.9269
Rb 12.3424 0.0000 1.0880
Bi 3.1202 0.0000 2.5098
Bi 6.1606 0.0000 2.3034
Bi 7.4390 0.0000 7.7115
Bi 10.4794 0.0000 7.5051
```

=====

For Cs3Rb2Bi4, DFT lattice parameters and positions (PBE) gives the calculated powder X-ray diffraction pattern in this record (Cu Kα (λ = 1.5418 Å)).

Most intense lines, 2θ = 5–70°, sorted by position:
2θ (°)	intensity
14.15	46
26.70	42
27.40	100
27.54	52
27.88	59
28.04	87
28.15	98
41.08	29
48.97	34
50.18	29

```
9
Lattice="6.3478 0.0000 0.0000 3.1287 7.0562 0.0000 0.4719 2.0572 9.5996" Properties=species:S:1:pos:R:3 pbc="T T T"
Cs 0.0000 0.0000 0.0000
Cs 3.4866 2.0029 6.5562
Cs 6.4617 7.1105 3.0433
Rb 3.3529 4.3841 3.0628
Rb 6.5954 4.7293 6.5367
Bi 3.4236 6.7358 6.2201
Bi 3.4340 5.2291 8.9464
Bi 6.5143 3.8843 0.6531
Bi 6.5247 2.3776 3.3795
```

=====

For Cs4Rb2SnBi2, DFT lattice parameters and positions (PBE) gives the calculated powder X-ray diffraction pattern in this record (Cu Kα (λ = 1.5418 Å)).

Most intense lines, 2θ = 5–70°, sorted by position:
2θ (°)	intensity
9.73	48
11.18	31
22.47	64
22.48	55
27.64	100
28.15	67
28.28	49
29.64	53
31.94	37
49.41	34

```
9
Lattice="8.4614 -5.5550 0.0000 8.4614 5.5550 0.0000 -2.1374 0.0000 5.6370" Properties=species:S:1:pos:R:3 pbc="T T T"
Cs 4.4057 3.3455 4.9023
Cs 10.3797 3.3455 0.7347
Cs 4.4057 -3.3455 4.9023
Cs 10.3797 -3.3455 0.7347
Rb 5.2703 0.0000 2.0023
Rb 9.5151 0.0000 3.6347
Sn -1.0687 0.0000 2.8185
Bi 2.0070 0.0000 3.9906
Bi 12.7785 0.0000 1.6465
```